This entry pairs a crystal structure of K3NaZr2Si3O12 with its computed powder diffractogram. Radiation: λ = 1.5418 Å (Cu Kα). Structure: a DFT-relaxed cell (GGA-PBE, the Materials Project).
Lines closer than 0.1° are merged.

Principal peaks in the range 10 to 90 degrees two-theta, by angle:
2θ 18.7, I = 30, hkl 1 1 0
2θ 19.0, I = 52, hkl 1 0 4
2θ 26.8, I = 25, hkl 0 2 4
2θ 30.2, I = 100, hkl 1 1 6
2θ 32.7, I = 70, hkl 3 0 0
2θ 39.8, I = 17, hkl 2 2 3
2θ 45.1, I = 38, hkl 2 2 6
2θ 56.8, I = 28, hkl 4 1 6

Structural model:
a = 9.4950 Å, b = 9.4950 Å, c = 22.7242 Å
α = 90.00°, β = 90.00°, γ = 120.00°
Space group R-3c (No. 167, hexagonal axes)
Inequivalent atoms, fractional coordinates:
K1 0.0000 0.3417 0.2500
Na1 0.0000 0.0000 0.0000
Zr1 0.0000 0.0000 0.1487
Si1 0.0000 0.2999 0.7500
O1 0.0129 0.1843 0.4117
O2 0.0194 0.2014 0.6933



This entry pairs a crystal structure of K2Na2Sm4Ta2O13 with its computed powder diffractogram. Radiation: λ = 1.5418 Å (Cu Kα). Structure: a DFT-relaxed cell (GGA-PBE, the Materials Project).
Lines closer than 0.1° are merged.

Principal peaks in the range 10 to 90 degrees two-theta, by angle:
2θ 17.8, I = 29, hkl 4 0 -2
2θ 19.7, I = 28, hkl 3 1 0
2θ 25.1, I = 24, hkl 1 1 2
2θ 29.9, I = 100, hkl 3 1 2
2θ 30.4, I = 93, hkl 7 1 -2
2θ 31.3, I = 30, hkl 0 2 0
2θ 31.6, I = 36, hkl 4 0 -4
2θ 45.1, I = 40, hkl 4 2 -4

Structural model:
a = 24.4269 Å, b = 5.7204 Å, c = 11.3265 Å
α = 90.00°, β = 116.43°, γ = 90.00°
Space group C2/c (No. 15)
Inequivalent atoms, fractional coordinates:
K1 0.2492 0.0512 0.1327
Na1 0.1593 0.4634 0.5236
Sm1 0.0629 0.0457 0.9500
Sm2 0.0626 0.4633 0.6721
Ta1 0.1506 0.0332 0.2822
O1 0.0000 0.2591 0.7500
O2 0.0011 0.2516 0.4772
O3 0.1011 0.2302 0.3404
O4 0.1301 0.1908 0.6382
O5 0.1316 0.2734 0.1407
O6 0.1346 0.2246 0.8771
O7 0.2350 0.0625 0.3756



This entry pairs a crystal structure of K7NaTe4O32 with its computed powder diffractogram. Radiation: λ = 1.5418 Å (Cu Kα). Structure: a DFT-relaxed cell (GGA-PBE, the Materials Project).
Lines closer than 0.1° are merged.

Principal peaks in the range 10 to 90 degrees two-theta, by angle:
2θ 10.2, I = 80, hkl 0 0 2
2θ 17.4, I = 100, hkl 1 1 2
2θ 20.4, I = 23, hkl 0 0 4
2θ 24.7, I = 28, hkl 1 3 2
2θ 24.9, I = 34, hkl 1 1 4
2θ 25.5, I = 33, hkl 2 0 0
2θ 26.8, I = 30, hkl 0 4 2
2θ 31.3, I = 18, hkl 1 2 5

Structural model:
a = 6.9850 Å, b = 14.4277 Å, c = 17.4184 Å
α = 90.00°, β = 90.00°, γ = 90.00°
Space group Immm (No. 71)
Inequivalent atoms, fractional coordinates:
K1 0.0000 0.0000 0.0000
K2 0.0000 0.0000 0.1956
K3 0.0000 0.0000 0.3657
K4 0.0000 0.2658 0.5000
Na1 0.0000 0.5000 0.0000
Te1 0.0000 0.3901 0.2303
O1 0.0000 0.1980 0.0805
O2 0.0000 0.3037 0.3088
O3 0.0000 0.5000 0.1501
O4 0.0000 0.5000 0.2995
O5 0.1610 0.1486 0.0838
O6 0.1843 0.0449 0.5000
O7 0.2482 0.3766 0.1932



This entry pairs a crystal structure of KNa5TeO6 with its computed powder diffractogram. Radiation: λ = 1.5418 Å (Cu Kα). Structure: a DFT-relaxed cell (GGA-PBE, the Materials Project).
Lines closer than 0.1° are merged.

Principal peaks in the range 10 to 90 degrees two-theta, by angle:
2θ 15.1, I = 74, hkl 0 2 0
2θ 15.5, I = 100, hkl 1 1 0
2θ 21.9, I = 38, hkl 0 2 2
2θ 22.1, I = 22, hkl 1 1 -2
2θ 22.2, I = 22, hkl 1 1 2
2θ 34.5, I = 30, hkl 0 4 2
2θ 35.1, I = 30, hkl 2 2 -2
2θ 35.3, I = 35, hkl 2 2 2

Structural model:
a = 6.5448 Å, b = 11.7231 Å, c = 11.2837 Å
α = 90.00°, β = 90.34°, γ = 90.00°
Space group C2/c (No. 15)
Inequivalent atoms, fractional coordinates:
K1 0.0000 0.1707 0.2500
Na1 0.0000 0.0000 0.0000
Na2 0.0000 0.3599 0.7500
Na3 0.2105 0.4292 0.2539
Na4 0.2500 0.2500 0.0000
Te1 0.0000 0.5000 0.0000
O1 0.0075 0.3617 0.1022
O2 0.2147 0.4347 0.6039
O3 0.2174 0.4285 0.8972